1.
# Li3I2Cl
Calculated powder diffractogram, Cu Kα (weighted mean of Kα1 and Kα2). Input: a structure optimized by DFT (PBE).
Lines closer than 0.1° are merged.

Structure:
Cell lengths 6.4902, 14.7276, 13.7266 Å; angles 90.00, 90.00, 90.00 degrees
Space group Cmce (No. 64)
One atom of each set of equivalent atoms:
1 Li 0.0000 0.0869 0.1442 [8 per cell]
2 Li 0.0000 0.1048 0.5608 [8 per cell]
3 Li 0.2500 0.1930 0.7500 [8 per cell]
4 I 0.0000 0.0754 0.3633 [8 per cell]
5 I 0.0000 0.1020 0.8916 [8 per cell]
6 Cl 0.0000 0.2476 0.6428 [8 per cell]

The 6 most intense peaks (2θ = 15–90°), sorted by position:
two_theta	Rel. int.
19.77	22
25.96	26
26.20	100
27.49	27
38.17	20
47.82	18

2.
# BC11
Calculated powder diffractogram, Cu Kα (weighted mean of Kα1 and Kα2). Input: a structure optimized by DFT (PBE).
Lines closer than 0.1° are merged.

Structure:
Cell lengths 8.0554, 3.6209, 5.0746 Å; angles 90.00, 108.26, 90.00 degrees
Space group C2 (No. 5)
One atom of each set of equivalent atoms:
1 B 0.0000 0.0000 0.0000 [2 per cell]
2 C 0.0000 0.9951 0.5000 [2 per cell]
3 C 0.0009 0.7332 0.2559 [4 per cell]
4 C 0.1673 0.2420 0.5831 [4 per cell]
5 C 0.1672 0.4950 0.3348 [4 per cell]
6 C 0.1668 0.4969 0.8325 [4 per cell]
7 C 0.1708 0.2523 0.0862 [4 per cell]

The 6 most intense peaks (2θ = 15–90°), sorted by position:
two_theta	Rel. int.
43.40	97
43.56	100
74.34	51
74.41	13
74.84	13
89.93	9

3.
# Zn3CdAu3
Calculated powder diffractogram, Cu Kα (weighted mean of Kα1 and Kα2). Input: a structure optimized by DFT (PBE).
Lines closer than 0.1° are merged.

Structure:
Cell lengths 6.9450, 6.9450, 18.3462 Å; angles 90.00, 90.00, 120.00 degrees
Space group R-3 (No. 148, hexagonal axes)
One atom of each set of equivalent atoms:
1 Zn 0.0217 0.6058 0.3758 [18 per cell]
2 Cd 0.0000 0.0000 0.1671 [6 per cell]
3 Au 0.0100 0.7576 0.5657 [18 per cell]

The 6 most intense peaks (2θ = 15–90°), sorted by position:
two_theta	Rel. int.
29.58	79
39.26	100
39.96	68
40.90	66
44.48	46
47.02	30

4.
# Ba2LiHg3
Calculated powder diffractogram, Cu Kα (weighted mean of Kα1 and Kα2). Input: a structure optimized by DFT (PBE).
Lines closer than 0.1° are merged.

Structure:
Cell lengths 8.6846, 10.2877, 17.6752 Å; angles 90.00, 90.00, 90.00 degrees
Space group Fmmm (No. 69)
One atom of each set of equivalent atoms:
1 Ba 0.2428 0.0000 0.0000 [8 per cell]
2 Ba 0.2500 0.2500 0.2500 [8 per cell]
3 Li 0.0000 0.0000 0.3340 [8 per cell]
4 Hg 0.0000 0.0000 0.1748 [8 per cell]
5 Hg 0.0000 0.2364 0.4127 [16 per cell]

The 6 most intense peaks (2θ = 15–90°), sorted by position:
two_theta	Rel. int.
20.15	17
28.77	100
34.88	23
35.10	45
45.86	18
55.53	24

5.
# Pm8Tm5Tl
Calculated powder diffractogram, Cu Kα (weighted mean of Kα1 and Kα2). Input: a structure optimized by DFT (PBE).
Lines closer than 0.1° are merged.

Structure:
Cell lengths 15.4373, 8.3823, 8.4425 Å; angles 90.00, 121.67, 90.00 degrees
Space group C2 (No. 5)
One atom of each set of equivalent atoms:
1 Pm 0.1239 0.0000 0.1817 [4 per cell]
2 Pm 0.1775 0.5967 0.2250 [4 per cell]
3 Pm 0.1814 0.2952 0.9152 [4 per cell]
4 Pm 0.1825 0.7756 0.5735 [4 per cell]
5 Tm 0.0000 0.0448 0.5000 [2 per cell]
6 Tm 0.0476 0.7031 0.7741 [4 per cell]
7 Tm 0.0997 0.3733 0.4552 [4 per cell]
8 Tl 0.0000 0.3431 0.0000 [2 per cell]

The 6 most intense peaks (2θ = 15–90°), sorted by position:
two_theta	Rel. int.
30.92	100
31.21	42
31.35	74
31.57	59
32.74	100
32.84	35

6.
# EuGa
Calculated powder diffractogram, Cu Kα (weighted mean of Kα1 and Kα2). Input: a structure optimized by DFT (PBE).
Lines closer than 0.1° are merged.

Structure:
Cell lengths 10.7872, 7.0642, 5.5381 Å; angles 90.00, 98.14, 90.00 degrees
Space group C2/m (No. 12)
One atom of each set of equivalent atoms:
1 Eu 0.1229 0.0000 0.2401 [4 per cell]
2 Eu 0.1646 0.5000 0.2008 [4 per cell]
3 Ga 0.0966 0.2966 0.6906 [8 per cell]

The 6 most intense peaks (2θ = 15–90°), sorted by position:
two_theta	Rel. int.
24.87	27
30.68	28
32.67	54
33.39	100
33.57	41
35.71	89

7.
# SrAgF3
Calculated powder diffractogram, Cu Kα (weighted mean of Kα1 and Kα2). Input: a structure optimized by DFT (PBE).
Lines closer than 0.1° are merged.

Structure:
Cell lengths 6.6629, 6.6629, 8.6574 Å; angles 90.00, 90.00, 120.00 degrees
Space group R3m (No. 160, hexagonal axes)
One atom of each set of equivalent atoms:
1 Sr 0.0000 0.0000 0.0000 [3 per cell]
2 Ag 0.0000 0.0000 0.6143 [3 per cell]
3 F 0.0277 0.5138 0.4678 [9 per cell]

The 6 most intense peaks (2θ = 15–90°), sorted by position:
two_theta	Rel. int.
18.48	58
25.73	65
26.76	100
37.46	40
41.39	70
46.63	33

8.
# HgGe2Pd7
Calculated powder diffractogram, Cu Kα (weighted mean of Kα1 and Kα2). Input: a structure optimized by DFT (PBE).
Lines closer than 0.1° are merged.

Structure:
Cell lengths 4.0860, 4.0860, 20.0584 Å; angles 90.00, 90.00, 90.00 degrees
Space group I4/mmm (No. 139)
One atom of each set of equivalent atoms:
1 Hg 0.0000 0.0000 0.0000 [2 per cell]
2 Ge 0.0000 0.0000 0.3266 [4 per cell]
3 Pd 0.0000 0.0000 0.5000 [2 per cell]
4 Pd 0.0000 0.5000 0.1028 [8 per cell]
5 Pd 0.0000 0.5000 0.2500 [4 per cell]

The 6 most intense peaks (2θ = 15–90°), sorted by position:
two_theta	Rel. int.
25.55	21
32.24	21
35.85	39
41.30	100
44.34	51
79.53	29

9.
# Ce3Ga4
Calculated powder diffractogram, Cu Kα (weighted mean of Kα1 and Kα2). Input: a structure optimized by DFT (PBE).
Lines closer than 0.1° are merged.

Structure:
Cell lengths 4.2306, 10.9844, 14.0778 Å; angles 90.00, 90.00, 90.00 degrees
Space group Cmcm (No. 63)
One atom of each set of equivalent atoms:
1 Ce 0.0000 0.0079 0.2500 [4 per cell]
2 Ce 0.0000 0.2897 0.5986 [8 per cell]
3 Ga 0.0000 0.0000 0.0000 [4 per cell]
4 Ga 0.0000 0.2839 0.2500 [4 per cell]
5 Ga 0.0000 0.4228 0.1001 [8 per cell]

The 6 most intense peaks (2θ = 15–90°), sorted by position:
two_theta	Rel. int.
29.57	85
32.34	83
34.13	100
37.73	83
37.96	56
42.75	53

10.
# Rb3SbF8
Calculated powder diffractogram, Cu Kα (weighted mean of Kα1 and Kα2). Input: a structure optimized by DFT (PBE).
Lines closer than 0.1° are merged.

Structure:
Cell lengths 6.1455, 6.1455, 11.9478 Å; angles 90.00, 90.00, 90.00 degrees
Space group I4/mmm (No. 139)
One atom of each set of equivalent atoms:
1 Rb 0.0000 0.0000 0.0000 [2 per cell]
2 Rb 0.0000 0.5000 0.2500 [4 per cell]
3 Sb 0.0000 0.0000 0.5000 [2 per cell]
4 F 0.1949 0.1949 0.3997 [16 per cell]

The 6 most intense peaks (2θ = 15–90°), sorted by position:
two_theta	Rel. int.
25.34	100
29.06	15
41.56	19
42.19	38
49.31	29
67.32	14

11.
# Cs3IrO6
Calculated powder diffractogram, Cu Kα (weighted mean of Kα1 and Kα2). Input: a structure optimized by DFT (PBE).
Lines closer than 0.1° are merged.

Structure:
Cell lengths 6.6939, 6.6939, 9.7229 Å; angles 90.00, 90.00, 90.00 degrees
Space group P4/mnc (No. 128)
One atom of each set of equivalent atoms:
1 Cs 0.0000 0.0000 0.0000 [2 per cell]
2 Cs 0.0000 0.5000 0.2500 [4 per cell]
3 Ir 0.0000 0.0000 0.5000 [2 per cell]
4 O 0.0000 0.0000 0.3065 [4 per cell]
5 O 0.1396 0.2424 0.5000 [8 per cell]

The 6 most intense peaks (2θ = 15–90°), sorted by position:
two_theta	Rel. int.
26.28	100
26.63	52
38.02	24
46.15	21
46.81	41
54.08	15